[1]
The following is a simulated powder XRD pattern of NaSr12Ni7O23. It was derived from a cell relaxed with GGA+U, using a wavelength of 1.5418 Å.
Lines closer than 0.1° are merged.

Main lines, sorted by position (15 to 90 degrees two-theta):
2θ (°)	I (rel.)	index
15.31	69	1 0 1
28.80	67	-2 1 1
29.00	100	2 -1 2
31.80	69	0 0 3
32.20	70	0 3 0
32.32	73	0 3 -3
43.74	37	2 2 2
44.08	43	2 4 -2

Cell and atoms:
```
43
Lattice="8.0173 0.0000 0.0000 -0.0117 9.5696 0.0000 -0.0558 -4.7507 8.4419" Properties=species:S:1:pos:R:3 pbc="T T T"
Na 0.0000 0.0000 0.0000
Sr 0.0140 -1.6834 3.1417
Sr 1.7566 1.6781 2.4985
Sr 1.7995 6.6042 0.2730
Sr 1.7992 6.1115 5.7169
Sr 3.9820 3.5541 5.8282
Sr 4.0670 3.0102 0.1865
Sr 4.0580 7.8172 2.4588
Sr 6.0558 -3.0481 5.8805
Sr 6.0369 1.7590 8.2183
Sr 6.1356 1.2419 2.8241
Sr 7.9122 -1.2804 8.3991
Sr 7.9373 3.0145 5.4132
Ni 0.8701 4.7960 2.8504
Ni 2.7515 0.0374 0.0375
Ni 3.4081 4.7683 2.8177
Ni 5.0113 0.0415 5.5594
Ni 5.2849 0.0258 0.0525
Ni 6.2846 4.9537 2.8469
Ni 7.5657 0.0030 5.6696
O 0.1534 1.1133 7.1288
O 0.1825 -1.7902 5.8818
O 0.2025 0.7188 3.9944
O 1.6773 -3.1249 8.4162
O 1.7282 -0.7354 1.4340
O 1.6857 4.0073 7.1015
O 2.0775 6.2946 3.0738
O 2.1183 4.2070 1.4861
O 2.1372 3.8363 4.0070
O 3.9552 -3.8840 7.2416
O 3.9931 0.7279 1.4138
O 3.9364 3.3582 8.3987
O 4.6853 5.2313 1.5351
O 4.7188 5.1541 4.0889
O 5.4802 1.8063 5.2433
O 5.5209 -1.1132 4.2007
O 5.5471 -0.6277 7.2011
O 6.2195 4.1595 7.0535
O 6.2947 1.5985 0.2169
O 6.2807 8.6637 1.3399
O 7.6507 3.3458 2.6187
O 7.7806 5.7475 1.6437
O 7.7703 5.3717 4.2556
```


[2]
The following is a simulated powder XRD pattern of Na2VPO6. It was derived from a cell relaxed with GGA+U, using a wavelength of 1.5418 Å.
Lines closer than 0.1° are merged.

Main lines, sorted by position (15 to 90 degrees two-theta):
2θ (°)	I (rel.)	index
16.39	37	1 1 -1
17.58	52	1 1 0
18.67	44	0 2 1
21.45	34	1 2 0
25.57	84	1 1 1
30.68	100	1 3 -2
32.65	82	0 3 2
47.10	32	3 2 -1

Cell and atoms:
```
40
Lattice="6.2834 0.0000 0.0000 0.0000 12.5770 0.0000 -3.9827 0.0000 7.2540" Properties=species:S:1:pos:R:3 pbc="T T T"
Na -0.9794 1.7842 3.0834
Na -2.9708 4.5043 6.7104
Na 1.3753 0.9246 0.4972
Na -0.6161 5.3639 4.1242
Na 2.9167 7.2131 3.1298
Na 0.9253 11.6525 6.7568
Na 5.2714 8.0727 0.5436
Na 3.2801 10.7928 4.1706
V 0.0803 9.0274 4.5178
V 2.0717 9.8381 0.8908
V 0.2289 2.7389 6.3632
V 2.2203 3.5496 2.7362
P -1.8758 7.7138 5.8307
P 0.1156 11.1517 2.2037
P 2.1850 1.4253 5.0504
P 4.1764 4.8632 1.4234
O -2.4876 6.3961 5.4019
O -0.4962 12.4694 1.7748
O -1.9580 8.7815 4.6796
O 0.0334 10.0840 1.0526
O -2.5239 8.2483 7.1422
O -0.5325 10.6173 3.5152
O 0.9761 2.8026 1.9055
O -1.0152 3.4859 5.5326
O 0.7374 8.0567 3.3406
O -1.2540 10.8088 6.9676
O -0.2977 7.6575 5.9595
O 1.6937 11.2081 2.3325
O 0.6069 1.3690 4.9215
O 2.5983 4.9195 1.2945
O 3.5546 1.7682 0.2864
O 1.5633 4.5203 3.9134
O 3.3159 9.0911 1.7215
O 1.3245 9.7744 5.3485
O 2.8331 1.9598 3.7388
O 4.8245 4.3287 0.1118
O 2.2673 2.4930 6.2014
O 4.2586 3.7955 2.5744
O 2.7968 0.1076 5.4792
O 4.7882 6.1809 1.8522
```


[3]
The following is a simulated powder XRD pattern of NaVPO5. It was derived from a cell relaxed with GGA+U, using a wavelength of 1.5418 Å.
Lines closer than 0.1° are merged.

Main lines, sorted by position (15 to 90 degrees two-theta):
2θ (°)	I (rel.)	index
16.83	99	2 0 0
21.50	18	1 1 1
28.08	47	0 2 0
32.92	100	2 0 2
36.94	18	4 1 0
53.61	22	4 2 2
58.05	19	0 0 4
68.37	16	2 2 4

Cell and atoms:
```
32
Lattice="10.5367 0.0000 0.0000 0.0000 6.3553 0.0000 0.0000 0.0000 6.3553" Properties=species:S:1:pos:R:3 pbc="T T T"
Na 2.5956 0.0528 0.0000
Na 2.6727 3.2305 3.1777
Na 7.8640 3.1248 0.0000
Na 7.9411 6.3024 3.1777
V 0.2986 4.7598 4.7320
V 4.9698 1.5822 1.5543
V 5.5669 4.7731 4.7320
V 10.2381 1.5955 1.5543
P 10.5364 1.5901 4.7270
P 0.0002 4.7652 1.5494
P 5.2681 1.5875 4.7270
P 5.2686 4.7678 1.5494
O 0.9075 0.3300 4.7554
O 0.9123 4.7325 2.8062
O 0.9196 4.7909 0.2976
O 0.9235 2.8385 4.6973
O 1.3470 1.6076 1.5618
O 3.9213 4.7852 4.7394
O 4.3448 6.0161 1.5196
O 4.3561 1.5549 5.9839
O 4.3487 1.6132 3.4753
O 4.3608 3.5076 1.5777
O 6.1759 2.8476 4.7554
O 6.1880 4.7421 0.2976
O 6.1806 4.8004 2.8062
O 6.1919 0.3392 4.6973
O 6.6154 1.5700 1.5618
O 9.1897 4.7477 4.7394
O 9.6132 3.5168 1.5196
O 9.6171 1.5644 3.4753
O 9.6244 1.6227 5.9839
O 9.6291 6.0253 1.5777
```


[4]
The following is a simulated powder XRD pattern of NaVPO5. It was derived from a cell relaxed with GGA+U, using a wavelength of 1.5418 Å.
Lines closer than 0.1° are merged.

Main lines, sorted by position (15 to 90 degrees two-theta):
2θ (°)	I (rel.)	index
17.75	49	0 1 1
25.69	46	1 0 2
26.50	100	2 0 1
27.50	49	0 2 0
32.19	48	1 2 1
33.19	19	2 0 2
37.99	23	1 2 2
43.41	20	0 3 1

Cell and atoms:
```
32
Lattice="7.4492 0.0000 0.0000 0.0000 6.4878 0.0000 0.0000 0.0000 7.8354" Properties=species:S:1:pos:R:3 pbc="T T T"
Na 0.0000 0.0000 0.0000
Na 0.0000 3.2439 0.0000
Na 3.7246 0.0000 3.9177
Na 3.7246 3.2439 3.9177
V 1.2573 1.6220 2.2491
V 2.4673 4.8659 6.1668
V 4.9819 1.6220 1.6686
V 6.1919 4.8659 5.5863
P 0.9254 4.8659 3.0897
P 2.7992 1.6220 7.0074
P 4.6500 4.8659 0.8280
P 6.5238 1.6220 4.7457
O 0.4204 1.6220 3.9837
O 0.7732 4.8659 6.4297
O 1.0120 3.6269 2.1547
O 1.0120 6.1048 2.1547
O 1.6074 1.6220 0.1771
O 2.1172 4.8659 4.0948
O 2.7126 0.3830 6.0724
O 2.7126 2.8609 6.0724
O 2.9514 1.6220 2.5120
O 3.3042 4.8659 0.0660
O 4.1450 1.6220 7.7694
O 4.4978 4.8659 5.3235
O 4.7366 3.6269 1.7631
O 4.7366 6.1048 1.7631
O 5.3320 1.6220 3.7406
O 5.8418 4.8659 7.6584
O 6.4372 0.3830 5.6808
O 6.4372 2.8609 5.6808
O 6.6760 1.6220 1.4058
O 7.0288 4.8659 3.8517
```